[1]
Computed powder X-ray diffraction pattern
Compound: K2Br3F6
Radiation: Cu Kα X-rays
Structure: DFT lattice parameters and positions (GGA-PBE)
Peak positions follow from Bragg's law for the DFT cell and can differ from measured ones.

```
data_K2Br3F6
_symmetry_space_group_name_H-M 'C 1 2/c 1'
_symmetry_Int_Tables_number 15
_symmetry_space_group_name_Hall '-C 2yc'
_cell_length_a 9.7361
_cell_length_b 7.7941
_cell_length_c 14.2317
_cell_angle_alpha 90.00
_cell_angle_beta 104.76
_cell_angle_gamma 90.00
loop_
_atom_site_label
_atom_site_fract_x
_atom_site_fract_y
_atom_site_fract_z
K1 0.0430 0.2485 0.4945
Br1 0.0000 0.4619 0.7500
Br2 0.1691 0.0491 0.2589
F1 0.0499 0.4642 0.8922
F2 0.1158 0.0108 0.1181
F3 0.2197 0.0904 0.3993
```

Top 6 peaks for 2θ = 15–90°, in order of falling intensity:
2theta, d [Å], I_rel
26.28, 3.391, 100.0
30.38, 2.942, 91.7
30.71, 2.911, 80.7
23.73, 3.750, 50.5
22.82, 3.897, 46.2
25.90, 3.441, 31.7

=====

[2]
Computed powder X-ray diffraction pattern
Compound: K3BrF2
Radiation: Cu Kα X-rays
Structure: DFT lattice parameters and positions (GGA-PBE)
Peak positions follow from Bragg's law for the DFT cell and can differ from measured ones.

```
data_K3BrF2
_symmetry_space_group_name_H-M 'P m m n'
_symmetry_Int_Tables_number 59
_cell_length_a 4.3311
_cell_length_b 13.7058
_cell_length_c 5.3414
_cell_angle_alpha 90.00
_cell_angle_beta 90.00
_cell_angle_gamma 90.00
loop_
_symmetry_equiv_pos_as_xyz
'x,y,z'
'-x,-y,-z'
'-x+1/2,-y+1/2,z'
'x+1/2,y+1/2,-z'
'x+1/2,-y,-z'
'-x+1/2,y,z'
'-x,y+1/2,-z'
'x,-y+1/2,z'
loop_
_atom_site_label
_atom_site_fract_x
_atom_site_fract_y
_atom_site_fract_z
K1 0.2500 0.0475 0.2498
K2 0.2500 0.2500 0.7492
Br1 0.2500 0.7500 0.7510
F1 0.2500 0.0606 0.7498
```

Top 6 peaks for 2θ = 15–90°, in order of falling intensity:
2theta, d [Å], I_rel
29.58, 3.020, 100.0
28.40, 3.143, 43.1
33.56, 2.671, 40.4
26.00, 3.426, 32.6
44.52, 2.035, 23.0
41.71, 2.166, 20.8

=====

[3]
Computed powder X-ray diffraction pattern
Compound: K4BrF3
Radiation: Cu Kα X-rays
Structure: DFT lattice parameters and positions (GGA-PBE)
Peak positions follow from Bragg's law for the DFT cell and can differ from measured ones.

```
data_K4BrF3
_symmetry_space_group_name_H-M 'P -3 m 1'
_symmetry_Int_Tables_number 164
_symmetry_space_group_name_Hall '-P 3 2"'
_cell_length_a 3.9362
_cell_length_b 3.9362
_cell_length_c 14.0657
_cell_angle_alpha 90.00
_cell_angle_beta 90.00
_cell_angle_gamma 120.00
loop_
_atom_site_label
_atom_site_fract_x
_atom_site_fract_y
_atom_site_fract_z
K1 0.3333 0.6667 0.3403
K2 0.3333 0.6667 0.8858
Br1 0.0000 0.0000 0.5000
F1 0.0000 0.0000 0.0000
F2 0.0000 0.0000 0.2286
```

Top 6 peaks for 2θ = 15–90°, in order of falling intensity:
2theta, d [Å], I_rel
29.11, 3.068, 100.0
36.72, 2.448, 90.9
46.12, 1.968, 48.8
32.47, 2.757, 36.1
26.91, 3.313, 22.4
60.35, 1.534, 18.1

=====

[4]
Computed powder X-ray diffraction pattern
Compound: KLiBrF
Radiation: Cu Kα X-rays
Structure: DFT lattice parameters and positions (GGA-PBE)
Peak positions follow from Bragg's law for the DFT cell and can differ from measured ones.

```
data_KLiBrF
_symmetry_space_group_name_H-M 'P 1 m 1'
_symmetry_Int_Tables_number 6
_symmetry_space_group_name_Hall 'P -2y'
_cell_length_a 4.8831
_cell_length_b 3.7614
_cell_length_c 5.3460
_cell_angle_alpha 90.00
_cell_angle_beta 90.37
_cell_angle_gamma 90.00
loop_
_atom_site_label
_atom_site_fract_x
_atom_site_fract_y
_atom_site_fract_z
K1 0.0000 0.0000 0.0000
Li1 0.5025 0.5000 0.3153
Br1 0.0039 0.5000 0.5095
F1 0.5014 0.0000 0.1770
```

Top 6 peaks for 2θ = 15–90°, in order of falling intensity:
2theta, d [Å], I_rel
29.03, 3.076, 100.0
18.17, 4.883, 83.3
34.40, 2.607, 43.1
34.52, 2.598, 42.5
36.81, 2.441, 30.7
38.28, 2.351, 23.8

=====

[5]
Computed powder X-ray diffraction pattern
Compound: KLiBrF
Radiation: Cu Kα X-rays
Structure: DFT lattice parameters and positions (GGA-PBE)
Peak positions follow from Bragg's law for the DFT cell and can differ from measured ones.

```
data_KLiBrF
_symmetry_space_group_name_H-M 'R 3 m'
_symmetry_Int_Tables_number 160
_symmetry_space_group_name_Hall 'R 3 -2"'
_cell_length_a 4.1612
_cell_length_b 4.1612
_cell_length_c 19.3210
_cell_angle_alpha 90.00
_cell_angle_beta 90.00
_cell_angle_gamma 120.00
loop_
_atom_site_label
_atom_site_fract_x
_atom_site_fract_y
_atom_site_fract_z
K1 0.0000 0.0000 0.0000
Li1 0.0000 0.0000 0.5221
Br1 0.0000 0.0000 0.8027
F1 0.0000 0.0000 0.6151
```

Top 6 peaks for 2θ = 15–90°, in order of falling intensity:
2theta, d [Å], I_rel
25.14, 3.543, 100.0
34.02, 2.635, 78.2
30.96, 2.888, 52.4
43.50, 2.081, 43.7
27.70, 3.220, 31.8
52.35, 1.748, 29.2

=====

[6]
Computed powder X-ray diffraction pattern
Compound: KLiTlBrF
Radiation: Cu Kα X-rays
Structure: DFT lattice parameters and positions (GGA-PBE)
Peak positions follow from Bragg's law for the DFT cell and can differ from measured ones.

```
data_KLiTlBrF
_symmetry_space_group_name_H-M 'C 1 m 1'
_symmetry_Int_Tables_number 8
_symmetry_space_group_name_Hall 'C -2y'
_cell_length_a 11.9059
_cell_length_b 3.9345
_cell_length_c 6.4921
_cell_angle_alpha 90.00
_cell_angle_beta 111.22
_cell_angle_gamma 90.00
loop_
_atom_site_label
_atom_site_fract_x
_atom_site_fract_y
_atom_site_fract_z
K1 0.0000 0.0000 0.0000
Li1 0.1820 0.5000 0.5295
Tl1 0.3682 0.0000 0.3948
Br1 0.2344 0.0000 0.7969
F1 0.0583 0.5000 0.2694
```

Top 6 peaks for 2θ = 15–90°, in order of falling intensity:
2theta, d [Å], I_rel
24.00, 3.708, 100.0
15.97, 5.549, 62.4
25.40, 3.506, 61.3
29.74, 3.004, 60.9
30.19, 2.961, 53.0
28.01, 3.185, 51.8